# 1
For NaCa2F6, a cell relaxed with PBE gives the calculated PXRD pattern in this record (Cu Ka).

Atomic structure:
```
data_NaCa2F6
_space_group_name_H-M_alt 'P 1'
_space_group_IT_number 1
_space_group_name_Hall 'P 1'
_cell_length_a 6.1249
_cell_length_b 6.1249
_cell_length_c 3.6012
_cell_angle_alpha 90.00
_cell_angle_beta 90.00
_cell_angle_gamma 120.00
loop_
_atom_site_label
_atom_site_type_symbol
_atom_site_fract_x
_atom_site_fract_y
_atom_site_fract_z
Na1 Na 0.0000 0.0000 0.0000
Ca1 Ca 0.3333 0.6667 0.2605
Ca2 Ca 0.6667 0.3333 0.7395
F1 F 0.0820 0.3894 0.7546
F2 F 0.3074 0.9180 0.7546
F3 F 0.3894 0.3074 0.2454
F4 F 0.6106 0.6926 0.7546
F5 F 0.6926 0.0820 0.2454
F6 F 0.9180 0.6106 0.2454
```

Principal peaks in the range 2θ = 10–90°, most intense first:
- 2.136 Å, rel. 100
- 1.752 Å, rel. 66
- 2.333 Å, rel. 64
- 1.768 Å, rel. 46
- 2.979 Å, rel. 45
- 3.062 Å, rel. 39
- 5.304 Å, rel. 34
- 1.153 Å, rel. 22

---

# 2
For NaCaNb2O6F, a cell relaxed with PBE gives the calculated PXRD pattern in this record (Cu Ka).

Atomic structure:
```
data_NaCaNb2O6F
_space_group_name_H-M_alt 'P 1'
_space_group_IT_number 1
_space_group_name_Hall 'P 1'
_cell_length_a 7.4800
_cell_length_b 7.4800
_cell_length_c 7.4800
_cell_angle_alpha 120.40
_cell_angle_beta 119.57
_cell_angle_gamma 90.03
loop_
_atom_site_label
_atom_site_type_symbol
_atom_site_fract_x
_atom_site_fract_y
_atom_site_fract_z
Na1 Na 0.5000 0.0000 0.0000
Na2 Na 0.5000 0.5000 0.5000
Ca1 Ca 0.0000 0.0000 0.0000
Ca2 Ca 0.5000 0.0000 0.5000
Nb1 Nb 0.0000 0.0000 0.5000
Nb2 Nb 0.0000 0.5000 0.0000
Nb3 Nb 0.0000 0.5000 0.5000
Nb4 Nb 0.5000 0.5000 0.0000
O1 O 0.0637 0.4264 0.2436
O2 O 0.0637 0.8201 0.6372
O3 O 0.0721 0.8221 0.2500
O4 O 0.3137 0.5637 0.7500
O5 O 0.3171 0.1799 0.7436
O6 O 0.3171 0.5736 0.1372
O7 O 0.6829 0.4264 0.8628
O8 O 0.6829 0.8201 0.2564
O9 O 0.6863 0.4363 0.2500
O10 O 0.9279 0.1779 0.7500
O11 O 0.9363 0.1799 0.3628
O12 O 0.9363 0.5736 0.7564
F1 F 0.3669 0.1169 0.2500
F2 F 0.6331 0.8831 0.7500
```

Principal peaks in the range 2θ = 10–90°, most intense first:
- 3.041 Å, rel. 100
- 3.067 Å, rel. 99
- 1.870 Å, rel. 68
- 6.133 Å, rel. 60
- 2.645 Å, rel. 41
- 3.181 Å, rel. 36
- 6.082 Å, rel. 31
- 3.197 Å, rel. 31

---

# 3
For Na2CaPO4F, a cell relaxed with PBE gives the calculated PXRD pattern in this record (Cu Ka).

Atomic structure:
```
data_Na2CaPO4F
_space_group_name_H-M_alt 'P 1'
_space_group_IT_number 1
_space_group_name_Hall 'P 1'
_cell_length_a 7.1477
_cell_length_b 7.1477
_cell_length_c 14.3185
_cell_angle_alpha 105.30
_cell_angle_beta 105.30
_cell_angle_gamma 59.42
loop_
_atom_site_label
_atom_site_type_symbol
_atom_site_fract_x
_atom_site_fract_y
_atom_site_fract_z
Na1 Na 0.0334 0.5427 0.7996
Na2 Na 0.1227 0.6308 0.6074
Na3 Na 0.2354 0.7646 0.0000
Na4 Na 0.4019 0.8983 0.4121
Na5 Na 0.4890 0.9890 0.2109
Na6 Na 0.5427 0.0334 0.7996
Na7 Na 0.6308 0.1227 0.6074
Na8 Na 0.7646 0.2354 0.0000
Na9 Na 0.8983 0.4019 0.4121
Na10 Na 0.9890 0.4890 0.2109
Ca1 Ca 0.0237 0.0237 0.8123
Ca2 Ca 0.5003 0.5003 0.2029
Ca3 Ca 0.6442 0.6442 0.6061
Ca4 Ca 0.7712 0.7712 0.0026
Ca5 Ca 0.8769 0.8769 0.4066
P1 P 0.1214 0.1214 0.5965
P2 P 0.2520 0.2520 0.9895
P3 P 0.3954 0.3954 0.3961
P4 P 0.5313 0.5313 0.7936
P5 P 0.9903 0.9903 0.2098
O1 O 0.0153 0.3759 0.6280
O2 O 0.0247 0.0247 0.6450
O3 O 0.0700 0.0700 0.4822
O4 O 0.1328 0.1328 0.0027
O5 O 0.1440 0.4982 0.0398
O6 O 0.1647 0.5243 0.4289
O7 O 0.2331 0.2331 0.8764
O8 O 0.2433 0.8793 0.2463
O9 O 0.3030 0.6635 0.8289
O10 O 0.3642 0.3642 0.2808
O11 O 0.3759 0.0153 0.6280
O12 O 0.4982 0.1440 0.0398
O13 O 0.4986 0.4986 0.6790
O14 O 0.5243 0.1647 0.4289
O15 O 0.5264 0.5264 0.4412
O16 O 0.6635 0.3030 0.8289
O17 O 0.6628 0.6628 0.8366
O18 O 0.8793 0.2433 0.2463
O19 O 0.8827 0.8827 0.2446
O20 O 0.9552 0.9552 0.0972
F1 F 0.6129 0.6129 0.0818
F2 F 0.6878 0.6878 0.3013
F3 F 0.7655 0.7655 0.5091
F4 F 0.8320 0.8320 0.7086
F5 F 0.8905 0.8905 0.9044
```

Principal peaks in the range 2θ = 10–90°, most intense first:
- 2.728 Å, rel. 100
- 2.628 Å, rel. 42
- 1.787 Å, rel. 42
- 3.071 Å, rel. 37
- 1.771 Å, rel. 24
- 3.542 Å, rel. 24
- 1.485 Å, rel. 23
- 2.672 Å, rel. 23